Sc6In3Pt: computed powder X-ray diffraction pattern (Cu Kα (weighted mean of Kα1 and Kα2)), based on a structure optimized by DFT (PBE).

Main lines, low angle first (10 to 80 degrees two-theta):
| 2θ/deg | intensity |
| --- | --- |
| 19.95 | 28 |
| 25.09 | 78 |
| 25.24 | 27 |
| 34.84 | 39 |
| 35.29 | 100 |
| 36.47 | 95 |
| 36.68 | 67 |
| 45.03 | 38 |
| 51.49 | 26 |
| 65.16 | 28 |

Crystal structure
```
data_Sc6In3Pt
_chemical_formula_sum 'Sc12 In6 Pt2'
_space_group_name_H-M_alt 'P 1 21/m 1'
_space_group_IT_number 11
_cell_length_a 8.5503
_cell_length_b 4.9006
_cell_length_c 11.0524
_cell_angle_alpha 90.00
_cell_angle_beta 105.76
_cell_angle_gamma 90.00
loop_
_space_group_symop_operation_xyz
'x,y,z'
'-x,-y,-z'
'-x,y+1/2,-z'
'x,-y+1/2,z'
loop_
_atom_site_label
_atom_site_type_symbol
_atom_site_fract_x
_atom_site_fract_y
_atom_site_fract_z
_atom_site_occupancy
Sc1 Sc 0.0396 0.2500 0.4167 1
Sc2 Sc 0.1801 0.7500 0.1628 1
Sc3 Sc 0.3098 0.2500 0.0073 1
Sc4 Sc 0.3430 0.7500 0.8025 1
Sc5 Sc 0.3593 0.2500 0.3178 1
Sc6 Sc 0.3997 0.2500 0.6115 1
In1 In 0.0224 0.7500 0.8828 1
In2 In 0.1204 0.2500 0.7226 1
In3 In 0.2722 0.7500 0.4655 1
Pt1 Pt 0.4836 0.7500 0.1453 1
```